Starting from a PBE-relaxed structure, the powder diffractogram of Pr6SnIr2 was calculated for copper Kα.

Largest 10 diffraction maxima, in order of falling intensity, 2θ = 10–80°:
- 32.65°, rel. 100
- 33.55°, rel. 68
- 31.90°, rel. 68
- 37.12°, rel. 62
- 30.37°, rel. 57
- 34.00°, rel. 43
- 12.70°, rel. 41
- 57.47°, rel. 36
- 37.31°, rel. 30
- 53.68°, rel. 24

Atomic structure:
```
Pr6SnIr2
1.0
-4.8427 5.0223 5.4945
4.8427 -5.0223 5.4945
4.8427 5.0223 -5.4945
Pr Sn Ir
12 2 4
Direct
0.0314 0.2326 0.7988 Pr
0.1806 0.2946 0.4752 Pr
0.1806 0.7054 0.8860 Pr
0.3317 0.0212 0.6895 Pr
0.3317 0.6422 0.3105 Pr
0.4338 0.2326 0.2012 Pr
0.5662 0.7674 0.7988 Pr
0.6683 0.3578 0.6895 Pr
0.6683 0.9788 0.3105 Pr
0.8194 0.2946 0.1140 Pr
0.8194 0.7054 0.5248 Pr
0.9686 0.7674 0.2012 Pr
0.0000 0.0000 0.0000 Sn
0.5000 0.5000 0.0000 Sn
0.1328 0.6328 0.5000 Ir
0.3352 0.0000 0.3352 Ir
0.6648 0.0000 0.6648 Ir
0.8672 0.3672 0.5000 Ir
```

=====

Starting from a PBE-relaxed structure, the powder diffractogram of Tb2PrIr2 was calculated for copper Kα.

Largest 10 diffraction maxima, in order of falling intensity, 2θ = 10–80°:
- 32.47°, rel. 100
- 31.98°, rel. 85
- 40.35°, rel. 84
- 40.22°, rel. 65
- 41.42°, rel. 61
- 34.76°, rel. 55
- 48.22°, rel. 31
- 54.29°, rel. 31
- 16.87°, rel. 28
- 64.64°, rel. 26

Atomic structure:
```
Tb2PrIr2
1.0
5.5664 0.0000 0.0000
0.0000 4.4705 0.0000
-1.3282 0.0000 10.5080
Tb Pr Ir
4 2 4
Direct
0.1217 0.2500 0.3888 Tb
0.2312 0.7500 0.9707 Tb
0.7688 0.2500 0.0293 Tb
0.8783 0.7500 0.6112 Tb
0.4356 0.2500 0.7155 Pr
0.5644 0.7500 0.2845 Pr
0.2983 0.2500 0.1347 Ir
0.3421 0.7500 0.5314 Ir
0.6579 0.2500 0.4686 Ir
0.7017 0.7500 0.8653 Ir
```

=====

Starting from a PBE-relaxed structure, the powder diffractogram of Tb2PrIr9 was calculated for copper Kα.

Largest 10 diffraction maxima, in order of falling intensity, 2θ = 10–80°:
- 39.44°, rel. 100
- 42.59°, rel. 62
- 33.45°, rel. 36
- 39.01°, rel. 29
- 70.36°, rel. 27
- 41.17°, rel. 27
- 63.87°, rel. 25
- 19.44°, rel. 24
- 46.00°, rel. 22
- 39.48°, rel. 14

Atomic structure:
```
Tb2PrIr9
1.0
2.6762 1.5451 8.7713
-2.6762 1.5451 8.7713
0.0000 -3.0902 8.7713
Tb Pr Ir
2 1 9
Direct
0.1396 0.1396 0.1396 Tb
0.8604 0.8604 0.8604 Tb
0.0000 0.0000 0.0000 Pr
0.0832 0.5819 0.5819 Ir
0.3328 0.3328 0.3328 Ir
0.4181 0.4181 0.9168 Ir
0.4181 0.9168 0.4181 Ir
0.5000 0.5000 0.5000 Ir
0.5819 0.0832 0.5819 Ir
0.5819 0.5819 0.0832 Ir
0.6672 0.6672 0.6672 Ir
0.9168 0.4181 0.4181 Ir
```

=====

Starting from a PBE-relaxed structure, the powder diffractogram of Tb2PrIr was calculated for copper Kα.

Largest 10 diffraction maxima, in order of falling intensity, 2θ = 10–80°:
- 31.48°, rel. 100
- 33.81°, rel. 95
- 37.56°, rel. 33
- 30.85°, rel. 31
- 35.61°, rel. 30
- 39.44°, rel. 23
- 29.54°, rel. 22
- 47.72°, rel. 20
- 58.26°, rel. 20
- 52.65°, rel. 20

Atomic structure:
```
Tb2PrIr
1.0
7.3189 0.0000 0.0000
0.0000 9.4991 0.0000
0.0000 0.0000 6.5123
Tb Pr Ir
8 4 4
Direct
0.1750 0.0652 0.1695 Tb
0.1750 0.4348 0.1695 Tb
0.3250 0.5652 0.6695 Tb
0.3250 0.9348 0.6695 Tb
0.6750 0.0652 0.3305 Tb
0.6750 0.4348 0.3305 Tb
0.8250 0.5652 0.8305 Tb
0.8250 0.9348 0.8305 Tb
0.0345 0.2500 0.6348 Pr
0.4655 0.7500 0.1348 Pr
0.5345 0.2500 0.8652 Pr
0.9655 0.7500 0.3652 Pr
0.1173 0.7500 0.9315 Ir
0.3827 0.2500 0.4315 Ir
0.6173 0.7500 0.5685 Ir
0.8827 0.2500 0.0685 Ir
```

=====

Starting from a PBE-relaxed structure, the powder diffractogram of Pr12TlIr6 was calculated for copper Kα.

Largest 10 diffraction maxima, in order of falling intensity, 2θ = 10–80°:
- 32.27°, rel. 100
- 44.51°, rel. 39
- 29.82°, rel. 22
- 17.08°, rel. 21
- 54.49°, rel. 19
- 79.42°, rel. 17
- 63.36°, rel. 16
- 52.93°, rel. 15
- 36.73°, rel. 14
- 51.32°, rel. 14

Atomic structure:
```
Pr12TlIr6
1.0
-5.1901 5.1901 5.1901
5.1901 -5.1901 5.1901
5.1901 5.1901 -5.1901
Pr Tl Ir
12 1 6
Direct
0.1152 0.8102 0.3050 Pr
0.1898 0.3050 0.4948 Pr
0.1898 0.6950 0.8848 Pr
0.3050 0.1152 0.8102 Pr
0.3050 0.4948 0.1898 Pr
0.4948 0.1898 0.3050 Pr
0.5052 0.8102 0.6950 Pr
0.6950 0.5052 0.8102 Pr
0.6950 0.8848 0.1898 Pr
0.8102 0.3050 0.1152 Pr
0.8102 0.6950 0.5052 Pr
0.8848 0.1898 0.6950 Pr
0.0000 0.0000 0.0000 Tl
0.1238 0.6238 0.5000 Ir
0.3762 0.5000 0.8762 Ir
0.5000 0.1238 0.6238 Ir
0.5000 0.8762 0.3762 Ir
0.6238 0.5000 0.1238 Ir
0.8762 0.3762 0.5000 Ir
```

=====

Starting from a PBE-relaxed structure, the powder diffractogram of Pr4Tl3Ir was calculated for copper Kα.

Largest 10 diffraction maxima, in order of falling intensity, 2θ = 10–80°:
- 32.29°, rel. 100
- 34.48°, rel. 47
- 60.39°, rel. 34
- 49.56°, rel. 17
- 56.14°, rel. 15
- 67.57°, rel. 9
- 42.87°, rel. 8
- 72.71°, rel. 5
- 65.97°, rel. 5
- 71.87°, rel. 5

Atomic structure:
```
Pr4Tl3Ir
1.0
3.6786 0.0000 0.0000
0.0000 3.6786 0.0000
0.0000 0.0000 16.8767
Pr Tl Ir
4 3 1
Direct
0.0000 0.0000 0.1000 Pr
0.0000 0.0000 0.3679 Pr
0.0000 0.0000 0.6321 Pr
0.0000 0.0000 0.9000 Pr
0.5000 0.5000 0.2397 Tl
0.5000 0.5000 0.5000 Tl
0.5000 0.5000 0.7603 Tl
0.5000 0.5000 0.0000 Ir
```

=====

Starting from a PBE-relaxed structure, the powder diffractogram of PrUIr3 was calculated for copper Kα.

Largest 10 diffraction maxima, in order of falling intensity, 2θ = 10–80°:
- 40.30°, rel. 100
- 17.83°, rel. 65
- 38.29°, rel. 63
- 35.48°, rel. 42
- 44.68°, rel. 41
- 63.30°, rel. 37
- 22.70°, rel. 30
- 38.55°, rel. 28
- 36.11°, rel. 28
- 35.27°, rel. 25

Atomic structure:
```
PrUIr3
1.0
2.9384 1.6965 7.8357
-2.9384 1.6965 7.8357
0.0000 -3.3930 7.8357
Pr U Ir
2 2 6
Direct
0.0000 0.0000 0.0000 Pr
0.2477 0.2477 0.2477 Pr
0.6330 0.6330 0.6330 U
0.7958 0.7958 0.7958 U
0.0764 0.5300 0.5300 Ir
0.2159 0.7137 0.7137 Ir
0.5300 0.0764 0.5300 Ir
0.5300 0.5300 0.0764 Ir
0.7137 0.2159 0.7137 Ir
0.7137 0.7137 0.2159 Ir
```

=====

Starting from a PBE-relaxed structure, the powder diffractogram of PrY2Ir2 was calculated for copper Kα.

Largest 10 diffraction maxima, in order of falling intensity, 2θ = 10–80°:
- 34.60°, rel. 100
- 32.30°, rel. 88
- 19.36°, rel. 63
- 40.36°, rel. 61
- 40.49°, rel. 60
- 40.74°, rel. 50
- 38.08°, rel. 43
- 27.92°, rel. 36
- 34.73°, rel. 33
- 21.62°, rel. 23

Atomic structure:
```
PrY2Ir2
1.0
5.5117 0.0000 0.0000
0.0000 4.4561 0.0000
-1.5650 0.0000 10.6109
Pr Y Ir
2 4 4
Direct
0.0882 0.2500 0.2851 Pr
0.9118 0.7500 0.7149 Pr
0.2521 0.2500 0.9720 Y
0.3972 0.2500 0.6148 Y
0.6028 0.7500 0.3852 Y
0.7479 0.7500 0.0280 Y
0.1515 0.7500 0.4768 Ir
0.2742 0.7500 0.1366 Ir
0.7258 0.2500 0.8634 Ir
0.8485 0.2500 0.5232 Ir
```

=====

Starting from a PBE-relaxed structure, the powder diffractogram of Pr3YIr8 was calculated for copper Kα.

Largest 10 diffraction maxima, in order of falling intensity, 2θ = 10–80°:
- 38.84°, rel. 100
- 40.64°, rel. 54
- 62.78°, rel. 33
- 69.09°, rel. 30
- 20.00°, rel. 21
- 32.94°, rel. 17
- 47.28°, rel. 11
- 58.82°, rel. 6
- 51.82°, rel. 6
- 72.74°, rel. 4

Atomic structure:
```
Pr3YIr8
1.0
2.7198 1.5703 8.8758
-2.7198 1.5703 8.8758
0.0000 -3.1406 8.8758
Pr Y Ir
3 1 8
Direct
0.0000 0.0000 0.0000 Pr
0.1251 0.1251 0.1251 Pr
0.5007 0.5007 0.5007 Pr
0.6255 0.6255 0.6255 Y
0.0609 0.5623 0.5623 Ir
0.0633 0.0633 0.5642 Ir
0.0633 0.5642 0.0633 Ir
0.3126 0.3126 0.3126 Ir
0.5624 0.0609 0.5624 Ir
0.5624 0.5623 0.0609 Ir
0.5642 0.0633 0.0633 Ir
0.8127 0.8127 0.8127 Ir
```

=====

Starting from a PBE-relaxed structure, the powder diffractogram of PrZnIr was calculated for copper Kα.

Largest 10 diffraction maxima, in order of falling intensity, 2θ = 10–80°:
- 34.57°, rel. 100
- 39.14°, rel. 57
- 32.84°, rel. 47
- 42.90°, rel. 35
- 26.80°, rel. 30
- 24.91°, rel. 28
- 43.73°, rel. 26
- 73.25°, rel. 26
- 41.18°, rel. 20
- 62.93°, rel. 18

Atomic structure:
```
PrZnIr
1.0
7.1807 0.0000 0.0000
0.0000 4.2161 0.0000
0.0000 0.0000 8.2433
Pr Zn Ir
4 4 4
Direct
0.0297 0.2500 0.1885 Pr
0.4703 0.7500 0.6885 Pr
0.5297 0.2500 0.3115 Pr
0.9703 0.7500 0.8115 Pr
0.1460 0.2500 0.5676 Zn
0.3540 0.7500 0.0676 Zn
0.6460 0.2500 0.9324 Zn
0.8540 0.7500 0.4324 Zn
0.2338 0.7500 0.3856 Ir
0.2662 0.2500 0.8856 Ir
0.7338 0.7500 0.1144 Ir
0.7662 0.2500 0.6144 Ir
```

=====

Starting from a PBE-relaxed structure, the powder diffractogram of Pr8Zn2Ir was calculated for copper Kα.

Largest 10 diffraction maxima, in order of falling intensity, 2θ = 10–80°:
- 30.89°, rel. 100
- 34.06°, rel. 58
- 32.48°, rel. 56
- 29.99°, rel. 30
- 27.39°, rel. 26
- 29.71°, rel. 26
- 36.93°, rel. 24
- 38.88°, rel. 21
- 34.72°, rel. 21
- 45.82°, rel. 18

Atomic structure:
```
Pr8Zn2Ir
1.0
9.1951 -2.6323 0.0000
9.1951 2.6323 0.0000
-1.2844 0.0000 6.8046
Pr Zn Ir
8 2 1
Direct
0.0280 0.0280 0.2823 Pr
0.2018 0.2018 0.8190 Pr
0.3437 0.3437 0.5422 Pr
0.4111 0.4111 0.0670 Pr
0.5889 0.5889 0.9330 Pr
0.6563 0.6563 0.4578 Pr
0.7982 0.7982 0.1810 Pr
0.9720 0.9720 0.7177 Pr
0.1946 0.1946 0.2464 Zn
0.8054 0.8054 0.7536 Zn
0.5000 0.5000 0.5000 Ir
```

=====

Starting from a PBE-relaxed structure, the powder diffractogram of IrPt4 was calculated for copper Kα.

Largest 5 diffraction maxima, in order of falling intensity, 2θ = 10–80°:
- 39.49°, rel. 100
- 45.82°, rel. 33
- 67.05°, rel. 21
- 46.13°, rel. 16
- 66.80°, rel. 11

Atomic structure:
```
IrPt4
1.0
-3.1315 3.1315 1.9676
3.1315 -3.1315 1.9676
3.1315 3.1315 -1.9676
Ir Pt
1 4
Direct
0.0000 0.0000 0.0000 Ir
0.2024 0.6009 0.8033 Pt
0.3991 0.2024 0.6015 Pt
0.6009 0.7976 0.3985 Pt
0.7976 0.3991 0.1967 Pt
```

=====

Starting from a PBE-relaxed structure, the powder diffractogram of Ir5Pt4 was calculated for copper Kα.

Largest 3 diffraction maxima, in order of falling intensity, 2θ = 10–80°:
- 39.85°, rel. 100
- 46.34°, rel. 49
- 67.62°, rel. 32

Atomic structure:
```
Ir5Pt4
1.0
-4.1590 4.1590 1.9566
4.1590 -4.1590 1.9566
4.1590 4.1590 -1.9566
Ir Pt
5 4
Direct
0.0000 0.0000 0.0000 Ir
0.3369 0.3369 0.6738 Ir
0.3369 0.6631 0.0000 Ir
0.6631 0.3369 0.0000 Ir
0.6631 0.6631 0.3262 Ir
0.0000 0.3279 0.3279 Pt
0.0000 0.6721 0.6721 Pt
0.3279 0.0000 0.3279 Pt
0.6721 0.0000 0.6721 Pt
```